Record 1
This entry pairs a crystal structure of Rb2Te3O12 with its calculated powder diffractogram. Radiation: copper Kα. Structure: a crystal structure in the Materials Project, relaxed with PBE.

abc: 7.584 7.584 7.584
angles: 56.08 56.08 56.08
Positions (direct):
Rb 0.129 0.129 0.129
Rb 0.871 0.871 0.871
Te 0.000 0.500 0.500
Te 0.500 0.000 0.500
Te 0.500 0.500 0.000
O 0.167 0.167 0.568
O 0.167 0.568 0.167
O 0.200 0.541 0.541
O 0.432 0.833 0.833
O 0.459 0.459 0.800
O 0.459 0.800 0.459
O 0.541 0.200 0.541
O 0.541 0.541 0.200
O 0.568 0.167 0.167
O 0.800 0.459 0.459
O 0.833 0.432 0.833
O 0.833 0.833 0.432

Top 10 peaks for 2θ from 5° to 70°, sorted by position:
- 2θ = 13.90°, 6.370 Å, intensity 82
- 2θ = 17.10°, 5.186 Å, intensity 28
- 2θ = 23.54°, 3.779 Å, intensity 56
- 2θ = 27.44°, 3.250 Å, intensity 26
- 2θ = 28.69°, 3.111 Å, intensity 69
- 2θ = 29.30°, 3.048 Å, intensity 100
- 2θ = 30.42°, 2.938 Å, intensity 58
- 2θ = 44.29°, 2.045 Å, intensity 25
- 2θ = 48.16°, 1.889 Å, intensity 39
- 2θ = 51.25°, 1.783 Å, intensity 32

***

Record 2
This entry pairs a crystal structure of Rb2TiTe3O12 with its calculated powder diffractogram. Radiation: copper Kα. Structure: a crystal structure in the Materials Project, relaxed with PBE.

abc: 7.236 7.236 7.237
angles: 119.72 119.72 60.30
Positions (direct):
Rb 0.134 0.134 0.380
Rb 0.866 0.866 0.620
Ti 0.484 0.516 0.000
Te 0.483 0.017 0.000
Te 0.484 0.516 0.500
Te 0.983 0.517 0.000
O 0.157 0.191 0.928
O 0.158 0.589 0.325
O 0.164 0.582 0.935
O 0.411 0.842 0.675
O 0.416 0.453 0.681
O 0.418 0.836 0.065
O 0.547 0.197 0.933
O 0.547 0.584 0.319
O 0.554 0.191 0.326
O 0.803 0.453 0.067
O 0.809 0.446 0.674
O 0.809 0.843 0.072

Top 10 peaks for 2θ from 5° to 70°, sorted by position:
- 2θ = 14.99°, 5.908 Å, intensity 38
- 2θ = 24.60°, 3.618 Å, intensity 16
- 2θ = 28.84°, 3.096 Å, intensity 100
- 2θ = 28.95°, 3.084 Å, intensity 20
- 2θ = 30.14°, 2.965 Å, intensity 39
- 2θ = 30.32°, 2.948 Å, intensity 13
- 2θ = 45.93°, 1.976 Å, intensity 21
- 2θ = 50.21°, 1.817 Å, intensity 23
- 2θ = 50.45°, 1.809 Å, intensity 23
- 2θ = 58.96°, 1.566 Å, intensity 13

***

Record 3
This entry pairs a crystal structure of Rb2TiTe3O12 with its calculated powder diffractogram. Radiation: copper Kα. Structure: a crystal structure in the Materials Project, relaxed with PBE.

abc: 7.231 7.231 7.231
angles: 60.41 60.41 60.41
Positions (direct):
Rb 0.131 0.131 0.131
Rb 0.869 0.869 0.869
Ti 0.500 0.500 0.500
Te 0.000 0.500 0.500
Te 0.500 0.000 0.500
Te 0.500 0.500 0.000
O 0.174 0.174 0.571
O 0.174 0.571 0.174
O 0.181 0.566 0.566
O 0.429 0.826 0.826
O 0.434 0.434 0.819
O 0.434 0.819 0.434
O 0.566 0.181 0.566
O 0.566 0.566 0.181
O 0.571 0.174 0.174
O 0.819 0.434 0.434
O 0.826 0.429 0.826
O 0.826 0.826 0.429

Top 10 peaks for 2θ from 5° to 70°, sorted by position:
- 2θ = 14.93°, 5.934 Å, intensity 14
- 2θ = 15.05°, 5.886 Å, intensity 23
- 2θ = 24.62°, 3.615 Å, intensity 16
- 2θ = 28.82°, 3.098 Å, intensity 100
- 2θ = 28.98°, 3.081 Å, intensity 19
- 2θ = 30.12°, 2.967 Å, intensity 38
- 2θ = 30.37°, 2.943 Å, intensity 14
- 2θ = 45.90°, 1.977 Å, intensity 21
- 2θ = 50.16°, 1.819 Å, intensity 24
- 2θ = 50.49°, 1.808 Å, intensity 23

***

Record 4
This entry pairs a crystal structure of RbYTe2O6 with its calculated powder diffractogram. Radiation: copper Kα. Structure: a crystal structure in the Materials Project, relaxed with PBE.

abc: 14.004 6.145 8.814
angles: 90.00 90.00 90.00
Positions (direct):
Rb 0.134 0.250 0.006
Rb 0.366 0.750 0.506
Rb 0.634 0.250 0.494
Rb 0.866 0.750 0.994
Y 0.092 0.750 0.288
Y 0.408 0.250 0.788
Y 0.592 0.750 0.212
Y 0.908 0.250 0.712
Te 0.076 0.750 0.717
Te 0.195 0.250 0.505
Te 0.305 0.750 0.005
Te 0.424 0.250 0.217
Te 0.576 0.750 0.783
Te 0.695 0.250 0.995
Te 0.805 0.750 0.495
Te 0.924 0.250 0.283
O 0.008 0.513 0.800
O 0.008 0.987 0.800
O 0.023 0.750 0.520
O 0.173 0.750 0.059
O 0.198 0.013 0.368
O 0.198 0.487 0.368
O 0.302 0.513 0.868
O 0.302 0.987 0.868
O 0.327 0.250 0.559
O 0.477 0.250 0.020
O 0.492 0.013 0.300
O 0.492 0.487 0.300
O 0.508 0.513 0.700
O 0.508 0.987 0.700
O 0.523 0.750 0.980
O 0.673 0.750 0.441
O 0.698 0.013 0.132
O 0.698 0.487 0.132
O 0.802 0.513 0.632
O 0.802 0.987 0.632
O 0.827 0.250 0.941
O 0.977 0.250 0.480
O 0.992 0.013 0.200
O 0.992 0.487 0.200

Top 10 peaks for 2θ from 5° to 70°, sorted by position:
- 2θ = 23.86°, 3.730 Å, intensity 37
- 2θ = 26.02°, 3.425 Å, intensity 35
- 2θ = 27.98°, 3.188 Å, intensity 100
- 2θ = 29.06°, 3.072 Å, intensity 35
- 2θ = 29.36°, 3.042 Å, intensity 46
- 2θ = 37.94°, 2.371 Å, intensity 13
- 2θ = 50.86°, 1.795 Å, intensity 19
- 2θ = 51.00°, 1.791 Å, intensity 13
- 2θ = 53.51°, 1.712 Å, intensity 16
- 2θ = 57.89°, 1.593 Å, intensity 13